Starting from a structure optimized by DFT (GGA+U), the X-ray powder pattern of PrMnGeO5 was calculated for Cu Kα X-rays.

Principal peaks in the range 2θ from 10° to 90°, low angle first:
| d_spacing | I/Imax | h k l |
| --- | --- | --- |
| 3.261 | 18 | 0 0 2 |
| 3.172 | 100 | 1 1 0 |
| 2.873 | 14 | 1 1 -2 |
| 2.793 | 39 | 2 -1 0 |
| 2.771 | 32 | 1 -1 2 |
| 2.762 | 38 | 1 -2 0 |
| 2.406 | 18 | 0 1 2 |
| 2.109 | 13 | 2 1 -2 |
| 1.824 | 18 | 2 0 2 |
| 1.755 | 26 | 3 0 0 |

Cell and atoms:
a b c (Å): 5.7253 5.8171 7.0562
angles (deg): 106.46 99.18 107.36
Fractional coordinates of all 16 atoms:
Pr 0.1494 0.3084 0.2803
Pr 0.8506 0.6916 0.7197
Mn 0.5000 0.0000 0.0000
Mn 0.5000 0.0000 0.5000
Ge 0.1960 0.3384 0.7656
Ge 0.8040 0.6616 0.2344
O 0.0761 0.7416 0.4408
O 0.1758 0.1357 0.9108
O 0.2275 0.6512 0.9183
O 0.4308 0.0832 0.2611
O 0.4402 0.3323 0.6358
O 0.5598 0.6677 0.3642
O 0.5692 0.9168 0.7389
O 0.7725 0.3488 0.0817
O 0.8242 0.8643 0.0892
O 0.9239 0.2584 0.5592